[1]
Dy3Zn4Ag4: computed powder X-ray diffraction pattern (Cu Kα X-rays), based on a crystal structure in Alexandria, relaxed with GGA-PBE.
Lines closer than 0.1° are merged.

Structure:
Lattice parameters (Å, degrees): 14.3469 14.3469 4.5655 98.97 98.97 14.04
Positions (direct):
Dy 0.0000 0.0000 0.0000
Dy 0.1404 0.1404 0.6397
Dy 0.8596 0.8596 0.3603
Zn 0.3130 0.3130 0.8130
Zn 0.4547 0.4547 0.4548
Zn 0.5453 0.5453 0.5452
Zn 0.6870 0.6870 0.1870
Ag 0.2624 0.2624 0.2626
Ag 0.4066 0.4066 0.9074
Ag 0.5934 0.5934 0.0926
Ag 0.7376 0.7376 0.7374

Most intense lines, 10° ≤ 2θ ≤ 80°, low angle first:
2θ 33.93, I 45.8; 2θ 34.69, I 100.0; 2θ 39.48, I 32.1; 2θ 40.37, I 26.3; 2θ 40.49, I 26.0; 2θ 52.17, I 14.0; 2θ 52.95, I 12.7; 2θ 67.34, I 13.1; 2θ 68.01, I 21.5; 2θ 68.53, I 13.2

=====

[2]
Dy4Zn3Ag2: computed powder X-ray diffraction pattern (Cu Kα X-rays), based on a crystal structure in Alexandria, relaxed with GGA-PBE.
Lines closer than 0.1° are merged.

Structure:
Lattice parameters (Å, degrees): 4.9062 4.9062 9.7949 90.00 90.00 120.00
Positions (direct):
Dy 0.0000 0.0000 0.1657
Dy 0.0000 0.0000 0.8343
Dy 0.3333 0.6667 0.6097
Dy 0.6667 0.3333 0.3903
Zn 0.0000 0.0000 0.5000
Zn 0.3333 0.6667 0.9999
Zn 0.6667 0.3333 0.0001
Ag 0.3333 0.6667 0.3003
Ag 0.6667 0.3333 0.6997

Most intense lines, 10° ≤ 2θ ≤ 80°, low angle first:
2θ 22.81, I 17.1; 2θ 27.80, I 11.3; 2θ 34.65, I 100.0; 2θ 36.63, I 96.1; 2θ 42.61, I 9.3; 2θ 51.31, I 32.9; 2θ 60.76, I 14.3; 2θ 64.68, I 32.1; 2θ 65.96, I 16.6; 2θ 77.89, I 11.0

=====

[3]
Dy3Zn6Ag20: computed powder X-ray diffraction pattern (Cu Kα X-rays), based on a crystal structure in Alexandria, relaxed with GGA-PBE.
Lines closer than 0.1° are merged.

Structure:
Lattice parameters (Å, degrees): 9.2138 9.2138 9.2138 60.00 60.00 60.00
Positions (direct):
Dy 0.0000 0.0000 0.0000
Dy 0.2500 0.2500 0.2500
Dy 0.7500 0.7500 0.7500
Zn 0.2662 0.2662 0.7338
Zn 0.2662 0.7338 0.2662
Zn 0.2662 0.7338 0.7338
Zn 0.7338 0.2662 0.2662
Zn 0.7338 0.2662 0.7338
Zn 0.7338 0.7338 0.2662
Ag 0.0000 0.0000 0.3496
Ag 0.0000 0.0000 0.6504
Ag 0.0000 0.3496 0.0000
Ag 0.0000 0.3496 0.6504
Ag 0.0000 0.6504 0.0000
Ag 0.0000 0.6504 0.3496
Ag 0.1451 0.6183 0.6183
Ag 0.3496 0.0000 0.0000
Ag 0.3496 0.0000 0.6504
Ag 0.3496 0.6504 0.0000
Ag 0.3817 0.3817 0.3817
Ag 0.3817 0.3817 0.8549
Ag 0.3817 0.8549 0.3817
Ag 0.6183 0.1451 0.6183
Ag 0.6183 0.6183 0.1451
Ag 0.6183 0.6183 0.6183
Ag 0.6504 0.0000 0.0000
Ag 0.6504 0.0000 0.3496
Ag 0.6504 0.3496 0.0000
Ag 0.8549 0.3817 0.3817

Most intense lines, 10° ≤ 2θ ≤ 80°, low angle first:
2θ 30.68, I 14.8; 2θ 33.70, I 26.8; 2θ 35.81, I 100.0; 2θ 39.11, I 49.7; 2θ 40.98, I 26.1; 2θ 41.58, I 12.8; 2θ 46.21, I 21.6; 2θ 60.27, I 26.0; 2θ 61.64, I 14.0; 2θ 70.86, I 26.2

=====

[4]
DyZn3Ag9: computed powder X-ray diffraction pattern (Cu Kα X-rays), based on a crystal structure in Alexandria, relaxed with GGA-PBE.
Lines closer than 0.1° are merged.

Structure:
Lattice parameters (Å, degrees): 7.1730 7.1730 7.0841 96.97 96.97 136.58
Positions (direct):
Dy 0.0000 0.0000 0.0000
Zn 0.0000 0.5000 0.0000
Zn 0.5000 0.0000 0.0000
Zn 0.5000 0.5000 0.5000
Ag 0.0000 0.0000 0.5000
Ag 0.0235 0.6680 0.6582
Ag 0.3016 0.5174 0.7884
Ag 0.3320 0.9765 0.3418
Ag 0.4826 0.6984 0.2116
Ag 0.5174 0.3016 0.7884
Ag 0.6680 0.0235 0.6582
Ag 0.6984 0.4826 0.2116
Ag 0.9765 0.3320 0.3418

Most intense lines, 10° ≤ 2θ ≤ 80°, low angle first:
2θ 32.58, I 47.2; 2θ 33.61, I 50.5; 2θ 33.82, I 44.6; 2θ 37.51, I 55.9; 2θ 38.12, I 100.0; 2θ 38.24, I 72.3; 2θ 38.37, I 48.3; 2θ 39.02, I 41.0; 2θ 39.57, I 53.3; 2θ 43.65, I 50.0

=====

[5]
DyZn4Ag2: computed powder X-ray diffraction pattern (Cu Kα X-rays), based on a crystal structure in Alexandria, relaxed with GGA-PBE.
Lines closer than 0.1° are merged.

Structure:
Lattice parameters (Å, degrees): 5.4994 5.4994 5.3485 119.07 119.07 76.68
Positions (direct):
Dy 0.0000 0.0000 0.0000
Zn 0.0007 0.3792 0.6882
Zn 0.3792 0.0007 0.6882
Zn 0.6208 0.9993 0.3118
Zn 0.9993 0.6208 0.3118
Ag 0.4979 0.4979 0.2482
Ag 0.5021 0.5021 0.7518

Most intense lines, 10° ≤ 2θ ≤ 80°, low angle first:
2θ 33.86, I 44.0; 2θ 33.98, I 44.6; 2θ 37.42, I 86.5; 2θ 38.52, I 100.0; 2θ 43.10, I 14.8; 2θ 43.23, I 35.5; 2θ 43.51, I 34.4; 2θ 54.69, I 16.4; 2θ 54.90, I 16.2; 2θ 68.24, I 37.4

=====

[6]
DyZn3Ag3: computed powder X-ray diffraction pattern (Cu Kα X-rays), based on a crystal structure in Alexandria, relaxed with GGA-PBE.
Lines closer than 0.1° are merged.

Structure:
Lattice parameters (Å, degrees): 8.5993 8.5993 8.5993 60.00 60.00 60.00
Positions (direct):
Dy 0.2500 0.2500 0.2500
Dy 0.7500 0.7500 0.7500
Zn 0.1471 0.1471 0.8529
Zn 0.1471 0.8529 0.1471
Zn 0.1471 0.8529 0.8529
Zn 0.8529 0.1471 0.1471
Zn 0.8529 0.1471 0.8529
Zn 0.8529 0.8529 0.1471
Ag 0.3413 0.3413 0.6587
Ag 0.3413 0.6587 0.3413
Ag 0.3413 0.6587 0.6587
Ag 0.6587 0.3413 0.3413
Ag 0.6587 0.3413 0.6587
Ag 0.6587 0.6587 0.3413

Most intense lines, 10° ≤ 2θ ≤ 80°, low angle first:
2θ 14.57, I 31.8; 2θ 20.66, I 61.3; 2θ 25.37, I 70.8; 2θ 29.38, I 44.2; 2θ 32.94, I 26.5; 2θ 44.71, I 100.0; 2θ 47.27, I 58.2; 2θ 60.95, I 10.2; 2θ 65.08, I 24.9; 2θ 71.04, I 20.5

=====

[7]
Dy3ZnAg: computed powder X-ray diffraction pattern (Cu Kα X-rays), based on a crystal structure in Alexandria, relaxed with GGA-PBE.
Lines closer than 0.1° are merged.

Structure:
Lattice parameters (Å, degrees): 10.0043 10.0043 5.1017 90.00 90.00 150.46
Positions (direct):
Dy 0.0639 0.9361 0.7500
Dy 0.2490 0.7510 0.7500
Dy 0.4334 0.5666 0.7500
Dy 0.5666 0.4334 0.2500
Dy 0.7510 0.2490 0.2500
Dy 0.9361 0.0639 0.2500
Zn 0.1553 0.8447 0.2500
Zn 0.8447 0.1553 0.7500
Ag 0.3403 0.6597 0.2500
Ag 0.6597 0.3403 0.7500

Most intense lines, 10° ≤ 2θ ≤ 80°, low angle first:
2θ 25.11, I 9.8; 2θ 27.66, I 6.0; 2θ 33.98, I 100.0; 2θ 35.18, I 51.9; 2θ 45.33, I 6.5; 2θ 46.96, I 6.6; 2θ 50.61, I 18.4; 2θ 60.02, I 12.5; 2θ 62.36, I 34.0; 2θ 71.52, I 7.3

=====

[8]
Dy2Zn2Ag: computed powder X-ray diffraction pattern (Cu Kα X-rays), based on a crystal structure in Alexandria, relaxed with GGA-PBE.
Lines closer than 0.1° are merged.

Structure:
Lattice parameters (Å, degrees): 7.2809 7.2809 8.3416 90.00 90.00 90.00
Positions (direct):
Dy 0.1707 0.3293 0.0000
Dy 0.1707 0.3293 0.5000
Dy 0.3293 0.8293 0.0000
Dy 0.3293 0.8293 0.5000
Dy 0.6707 0.1707 0.0000
Dy 0.6707 0.1707 0.5000
Dy 0.8293 0.6707 0.0000
Dy 0.8293 0.6707 0.5000
Zn 0.1266 0.6266 0.2500
Zn 0.1266 0.6266 0.7500
Zn 0.3734 0.1266 0.2500
Zn 0.3734 0.1266 0.7500
Zn 0.6266 0.8734 0.2500
Zn 0.6266 0.8734 0.7500
Zn 0.8734 0.3734 0.2500
Zn 0.8734 0.3734 0.7500
Ag 0.0000 0.0000 0.2496
Ag 0.0000 0.0000 0.7504
Ag 0.5000 0.5000 0.2504
Ag 0.5000 0.5000 0.7496

Most intense lines, 10° ≤ 2θ ≤ 80°, low angle first:
2θ 27.39, I 14.6; 2θ 27.52, I 11.0; 2θ 32.65, I 42.2; 2θ 34.96, I 100.0; 2θ 39.12, I 36.6; 2θ 43.39, I 19.7; 2θ 56.59, I 18.6; 2θ 58.13, I 12.7; 2θ 59.84, I 20.4; 2θ 73.64, I 12.1